Computed XRD peak list of Au5Br for a wavelength of 1.5418 Å, from a DFT-relaxed cell (GGA-PBE, Alexandria).
Intensities are scaled so that the largest is 100.

Crystal structure
Cell lengths 6.6782, 6.6782, 7.1596 Å; angles 115.07, 115.07, 25.31 degrees
Atoms (fractional coordinates):
Au: 0.0000 0.0000 0.0000
Au: 0.0564 0.0564 0.4349
Au: 0.3506 0.3506 0.1246
Au: 0.6439 0.6439 0.8151
Au: 0.7016 0.7016 0.2505
Br: 0.3497 0.3497 0.6253

The 10 most intense peaks (2θ from 5° to 70°), low angle first:
2θ (°), d/Å, I/Imax
13.7, 6.449, 35
31.0, 2.881, 33
37.2, 2.416, 100
38.4, 2.343, 89
39.8, 2.266, 30
40.0, 2.252, 78
42.0, 2.149, 30
50.5, 1.808, 15
62.1, 1.494, 18
66.7, 1.402, 16